Record 1
Calculated powder diffraction line list
Compound: ZnGa3O6
Radiation: Cu Kα
Structure: a cell relaxed with PBE
Lines closer than 0.1° are merged.

Structural model:
Cell lengths 8.4506, 2.9623, 8.7793 Å; angles 90.00, 112.15, 90.00 degrees
Space group P2_1/m (No. 11)
One atom of each set of equivalent atoms:
Zn: 0.1902 0.2500 0.0760 x2
Ga: 0.0127 0.2500 0.7204 x2
Ga: 0.3335 0.2500 0.4440 x2
Ga: 0.4096 0.7500 0.8256 x2
O: 0.0574 0.7500 0.8969 x2
O: 0.0935 0.2500 0.4256 x2
O: 0.2389 0.7500 0.2680 x2
O: 0.2498 0.2500 0.7546 x2
O: 0.4166 0.7500 0.0724 x2
O: 0.4380 0.7500 0.5977 x2

Top 10 peaks for 10 to 90 degrees two-theta, low angle first:
2θ = 30.6°, rel. 100, (1 0 -3)
2θ = 31.8°, rel. 71, (3 0 -1)
2θ = 35.6°, rel. 48, (1 1 1)
2θ = 37.1°, rel. 43, (2 1 -1)
2θ = 37.4°, rel. 35, (2 0 2)
2θ = 41.8°, rel. 32, (1 1 2)
2θ = 45.4°, rel. 69, (0 1 3)
2θ = 55.2°, rel. 36, (3 1 -4)
2θ = 61.3°, rel. 38, (4 1 1)
2θ = 62.7°, rel. 28, (0 2 0)

Record 2
Calculated powder diffraction line list
Compound: Ca4HgPt
Radiation: Cu Kα
Structure: a cell relaxed with PBE
Lines closer than 0.1° are merged.

Structural model:
Cell lengths 9.4333, 13.7072, 6.6379 Å; angles 90.00, 120.53, 90.00 degrees
Space group C2/c (No. 15)
One atom of each set of equivalent atoms:
Ca: 0.1154 0.1716 0.0825 x8
Ca: 0.2124 0.4359 0.2934 x8
Hg: 0.0000 0.3656 0.7500 x4
Pt: 0.0000 0.0022 0.2500 x4

Top 10 peaks for 10 to 90 degrees two-theta, low angle first:
2θ = 12.9°, rel. 71, (0 2 0)
2θ = 15.1°, rel. 64, (1 1 -1)
2θ = 20.2°, rel. 50, (0 2 1)
2θ = 21.9°, rel. 69, (2 0 0)
2θ = 22.3°, rel. 100, (1 3 0)
2θ = 31.3°, rel. 49, (0 0 2)
2θ = 33.7°, rel. 81, (1 3 -2)
2θ = 35.5°, rel. 65, (2 2 1)
2θ = 37.7°, rel. 59, (3 3 -2)
2θ = 38.6°, rel. 56, (3 3 0)

Record 3
Calculated powder diffraction line list
Compound: Tm7Co2Se2
Radiation: Cu Kα
Structure: a cell relaxed with PBE
Lines closer than 0.1° are merged.

Structural model:
Cell lengths 3.7439, 14.9410, 9.1152 Å; angles 90.00, 90.00, 90.00 degrees
Space group Imm2 (No. 44)
One atom of each set of equivalent atoms:
Tm: 0.0000 0.0000 0.0000 x2
Tm: 0.0000 0.1264 0.5862 x4
Tm: 0.0000 0.3148 0.3789 x4
Tm: 0.0000 0.3573 0.7380 x4
Co: 0.0000 0.2395 0.0746 x4
Se: 0.0000 0.0000 0.3390 x2
Se: 0.0000 0.5000 0.2422 x2

Top 10 peaks for 10 to 90 degrees two-theta, low angle first:
2θ = 29.9°, rel. 28, (1 3 0)
2θ = 30.0°, rel. 22, (0 1 3)
2θ = 31.5°, rel. 91, (0 5 1)
2θ = 34.6°, rel. 68, (0 3 3)
2θ = 35.3°, rel. 100, (1 4 1)
2θ = 35.9°, rel. 48, (1 3 2)
2θ = 38.1°, rel. 22, (1 0 3)
2θ = 40.1°, rel. 18, (1 2 3)
2θ = 48.6°, rel. 29, (2 0 0)
2θ = 61.0°, rel. 38, (2 3 3)